The following is a calculated XRD peak list of Li4Mn3Ni3O12. It was derived from a DFT-relaxed cell (GGA+U, Alexandria), using λ = 1.5418 Å (Cu Kα).
Kinematic intensities with the Lorentz-polarization factor, no thermal factor.

The 6 most intense peaks (10° ≤ 2θ ≤ 90°), by angle:
two_theta, I_rel, h k l
18.2, 1000, 0 1 -1
35.5, 136, -2 1 1
36.4, 230, 2 1 0
42.7, 214, 2 -2 0
44.0, 390, 2 2 -1
63.5, 110, 4 0 -1

Structure:
```
Li4Mn3Ni3O12
1.0
5.8654 0.0000 0.0000
-0.1711 5.9430 0.0000
-1.4449 -1.6297 6.1775
Li Mn Ni O
4 3 3 12
Cartesian
0.0000 0.0000 0.0000
-0.0232 2.8537 4.0419
2.9327 0.0000 0.0000
4.2726 1.4596 2.1355
-0.0222 -0.0500 4.0737
2.8472 2.9715 0.0000
4.2716 4.3633 2.1037
-0.0856 2.9715 0.0000
1.3485 4.3890 2.0806
2.9009 -0.0757 4.0968
-0.1280 -0.1457 2.1278
-0.1315 3.1431 2.0510
0.0406 -0.0580 6.0033
1.4519 4.3338 0.1463
1.2873 1.3333 4.2588
1.2649 4.6023 3.9973
2.9845 -0.2890 2.1801
2.9620 2.9800 1.9187
2.7975 -0.0205 6.0312
4.2088 4.3712 0.1742
4.3809 1.1702 4.1265
4.3774 4.4590 4.0496
```